[1]
Structure and theoretical powder diffraction line list of KAu (a crystal structure in OQMD, relaxed with GGA-PBE; Cu Kα).

Cell and atoms:
Cell: 4.6637 4.6637 4.1795 Å, 90.00 90.00 120.00°
Element x y z (fractional)
K (0.0000, 0.0000, 0.0000)
Au (0.3333, 0.6667, 0.5000)

Most intense lines, 2θ = 15–90°, low angle first:
d_spacing  intensity
4.180  19.9
4.039  74.8
2.904  100.0
2.332  31.7
2.036  19.2
2.019  12.2
1.856  18.9
1.818  25.7
1.556  17.8
1.434  23.5

[2]
Structure and theoretical powder diffraction line list of K3LiAuO4 (a crystal structure in OQMD, relaxed with GGA-PBE; Cu Kα).

Cell and atoms:
Cell: 7.2002 7.2002 5.8942 Å, 100.98 100.98 82.31°
Element x y z (fractional)
K (0.0953, 0.9047, 0.7500)
K (0.2545, 0.4383, 0.5214)
K (0.4383, 0.2545, 0.0214)
K (0.5617, 0.7455, 0.9786)
K (0.7455, 0.5617, 0.4786)
K (0.9047, 0.0953, 0.2500)
Li (0.2307, 0.7693, 0.2500)
Li (0.7693, 0.2307, 0.7500)
Au (0.0000, 0.5000, 0.0000)
Au (0.5000, 0.0000, 0.5000)
O (0.0190, 0.2889, 0.7234)
O (0.2428, 0.5899, 0.9667)
O (0.2889, 0.0190, 0.2234)
O (0.4101, 0.7572, 0.5333)
O (0.5899, 0.2428, 0.4667)
O (0.7111, 0.9810, 0.7766)
O (0.7572, 0.4101, 0.0333)
O (0.9810, 0.7111, 0.2766)

Most intense lines, 2θ = 15–90°, low angle first:
d_spacing  intensity
5.245  71.4
4.850  100.0
4.738  60.1
4.102  92.1
3.516  65.5
3.190  69.1
2.823  31.5
2.757  95.3
2.594  62.4
2.050  37.3

[3]
Structure and theoretical powder diffraction line list of KMoAu3S4 (a crystal structure in OQMD, relaxed with GGA-PBE; Cu Kα).

Cell and atoms:
Cell: 6.1938 6.1938 6.1938 Å, 90.00 90.00 90.00°
Element x y z (fractional)
K (0.0000, 0.0000, 0.0000)
Mo (0.5000, 0.5000, 0.5000)
Au (0.0000, 0.5000, 0.5000)
Au (0.5000, 0.0000, 0.5000)
Au (0.5000, 0.5000, 0.0000)
S (0.2832, 0.2832, 0.2832)
S (0.2832, 0.7168, 0.7168)
S (0.7168, 0.2832, 0.7168)
S (0.7168, 0.7168, 0.2832)

Most intense lines, 2θ = 15–90°, low angle first:
d_spacing  intensity
3.576  100.0
3.097  64.0
2.770  27.3
2.190  93.9
2.065  19.3
1.867  50.0
1.788  19.4
1.421  19.6
1.385  26.8
1.264  29.5

[4]
Structure and theoretical powder diffraction line list of K3RbAu2N2 (a crystal structure in OQMD, relaxed with GGA-PBE; Cu Kα).

Cell and atoms:
Cell: 5.5035 6.8678 5.5061 Å, 90.00 112.22 90.00°
Element x y z (fractional)
K (0.0000, 0.0000, 0.0000)
K (0.1749, 0.5000, 0.1825)
K (0.3565, 0.0000, 0.6412)
Rb (0.5320, 0.5000, 0.8278)
Au (0.7670, 0.2486, 0.4113)
Au (0.7670, 0.7514, 0.4113)
N (0.5679, 0.0000, 0.2092)
N (0.9663, 0.5000, 0.6041)

Most intense lines, 2θ = 15–90°, low angle first:
d_spacing  intensity
5.096  99.3
4.570  31.8
3.069  30.1
2.848  100.0
2.745  51.6
2.729  68.5
2.287  22.9
2.046  40.3
1.560  20.5
1.454  26.3

[5]
Structure and theoretical powder diffraction line list of K4SbAu2N (a crystal structure in OQMD, relaxed with GGA-PBE; Cu Kα).

Cell and atoms:
Cell: 7.2344 10.2141 6.5945 Å, 90.00 90.00 90.00°
Element x y z (fractional)
K (0.0000, 0.1672, 0.0000)
K (0.0000, 0.3328, 0.5000)
K (0.0000, 0.6672, 0.5000)
K (0.0000, 0.8328, 0.0000)
K (0.5000, 0.1681, 0.7191)
K (0.5000, 0.3319, 0.2191)
K (0.5000, 0.6681, 0.2191)
K (0.5000, 0.8319, 0.7191)
Sb (0.0000, 0.0000, 0.5330)
Sb (0.0000, 0.5000, 0.0330)
Au (0.2927, 0.0000, 0.2787)
Au (0.2927, 0.5000, 0.7787)
Au (0.7073, 0.0000, 0.2787)
Au (0.7073, 0.5000, 0.7787)
N (0.5000, 0.0000, 0.0633)
N (0.5000, 0.5000, 0.5633)

Most intense lines, 2θ = 15–90°, low angle first:
d_spacing  intensity
5.540  92.4
5.107  60.4
3.027  100.0
3.000  22.3
2.791  25.4
2.437  23.4
2.321  15.0
2.199  31.3
1.847  18.9
1.763  15.7

[6]
Structure and theoretical powder diffraction line list of KNa3P2Au2 (a crystal structure in OQMD, relaxed with GGA-PBE; Cu Kα).

Cell and atoms:
Cell: 5.6221 6.0273 5.8012 Å, 90.00 104.90 90.00°
Element x y z (fractional)
K (0.0000, 0.0000, 0.0000)
Na (0.0686, 0.5000, 0.3537)
Na (0.3502, 0.0000, 0.6423)
Na (0.6987, 0.5000, 0.7054)
P (0.2594, 0.5000, 0.8982)
P (0.7851, 0.0000, 0.4564)
Au (0.5351, 0.2543, 0.1769)
Au (0.5351, 0.7457, 0.1769)

Most intense lines, 2θ = 15–90°, low angle first:
d_spacing  intensity
5.606  100.0
5.433  84.0
4.526  70.5
2.802  45.5
2.654  45.3
2.635  47.7
2.508  35.3
2.278  37.9
2.264  32.8
2.052  38.4

[7]
Structure and theoretical powder diffraction line list of KNa3Sb2Au2 (a crystal structure in OQMD, relaxed with GGA-PBE; Cu Kα).

Cell and atoms:
Cell: 5.9655 6.0602 6.3906 Å, 90.00 103.68 90.00°
Element x y z (fractional)
K (0.0000, 0.0000, 0.0000)
Na (0.3193, 0.5000, 0.3533)
Na (0.6410, 0.0000, 0.3475)
Na (0.9562, 0.5000, 0.6867)
Sb (0.1997, 0.0000, 0.5420)
Sb (0.7558, 0.5000, 0.1467)
Au (0.4657, 0.2541, 0.8476)
Au (0.4657, 0.7459, 0.8476)

Most intense lines, 2θ = 15–90°, low angle first:
d_spacing  intensity
5.796  44.5
4.847  100.0
4.189  19.7
2.902  23.4
2.724  51.7
2.685  33.2
2.502  24.3
2.372  45.3
2.168  25.3
2.095  32.4

[8]
Structure and theoretical powder diffraction line list of KNbAuSeS2 (a crystal structure in OQMD, relaxed with GGA-PBE; Cu Kα).

Cell and atoms:
Cell: 7.9454 7.9454 10.0192 Å, 90.00 90.00 153.85°
Element x y z (fractional)
K (0.2408, 0.7592, 0.7500)
K (0.7592, 0.2408, 0.2500)
Nb (0.0000, 0.0000, 0.0000)
Nb (0.0000, 0.0000, 0.5000)
Au (0.4462, 0.5538, 0.2500)
Au (0.5538, 0.4462, 0.7500)
Se (0.0787, 0.9213, 0.2500)
Se (0.9213, 0.0787, 0.7500)
S (0.3849, 0.6151, 0.0319)
S (0.3849, 0.6151, 0.4681)
S (0.6151, 0.3849, 0.5319)
S (0.6151, 0.3849, 0.9681)

Most intense lines, 2θ = 15–90°, low angle first:
d_spacing  intensity
5.010  27.1
2.870  30.9
2.829  100.0
2.542  45.8
2.503  53.1
2.383  23.4
2.294  23.8
2.284  25.3
2.211  36.8
1.657  24.4

[9]
Structure and theoretical powder diffraction line list of KNiAuSe2S (a crystal structure in OQMD, relaxed with GGA-PBE; Cu Kα).

Cell and atoms:
Cell: 7.7016 7.7016 10.3667 Å, 90.00 90.00 152.31°
Element x y z (fractional)
K (0.2259, 0.7741, 0.7500)
K (0.7741, 0.2259, 0.2500)
Ni (0.5000, 0.5000, 0.0000)
Ni (0.5000, 0.5000, 0.5000)
Au (0.0875, 0.9125, 0.2500)
Au (0.9125, 0.0875, 0.7500)
Se (0.1037, 0.8963, 0.0127)
Se (0.1037, 0.8963, 0.4873)
Se (0.8963, 0.1037, 0.5127)
Se (0.8963, 0.1037, 0.9873)
S (0.4608, 0.5392, 0.2500)
S (0.5392, 0.4608, 0.7500)

Most intense lines, 2θ = 15–90°, low angle first:
d_spacing  intensity
3.578  50.8
3.517  30.8
2.963  26.1
2.849  100.0
2.592  63.8
2.322  59.5
2.249  45.1
1.842  30.7
1.730  46.5
1.699  29.0

[10]
Structure and theoretical powder diffraction line list of KPtAu3O4 (a crystal structure in OQMD, relaxed with GGA-PBE; Cu Kα).

Cell and atoms:
Cell: 5.5268 5.5268 5.5268 Å, 90.00 90.00 90.00°
Element x y z (fractional)
K (0.0000, 0.0000, 0.0000)
Pt (0.5000, 0.5000, 0.5000)
Au (0.0000, 0.5000, 0.5000)
Au (0.5000, 0.0000, 0.5000)
Au (0.5000, 0.5000, 0.0000)
O (0.2686, 0.2686, 0.2686)
O (0.2686, 0.7314, 0.7314)
O (0.7314, 0.2686, 0.7314)
O (0.7314, 0.7314, 0.2686)

Most intense lines, 2θ = 15–90°, low angle first:
d_spacing  intensity
5.527  100.0
3.191  58.5
2.763  86.3
2.472  51.5
1.954  86.4
1.842  29.0
1.666  26.6
1.595  23.4
1.236  31.4
1.128  29.4

[11]
Structure and theoretical powder diffraction line list of KRbAu2O2 (a crystal structure in OQMD, relaxed with GGA-PBE; Cu Kα).

Cell and atoms:
Cell: 6.9651 5.8776 6.6649 Å, 90.00 90.00 90.00°
Element x y z (fractional)
K (0.0000, 0.0000, 0.0000)
K (0.0000, 0.5000, 0.5000)
Rb (0.5000, 0.0000, 0.1205)
Rb (0.5000, 0.5000, 0.6205)
Au (0.2486, 0.0000, 0.5568)
Au (0.2486, 0.5000, 0.0568)
Au (0.7514, 0.0000, 0.5568)
Au (0.7514, 0.5000, 0.0568)
O (0.0000, 0.0000, 0.3978)
O (0.0000, 0.5000, 0.8978)
O (0.5000, 0.0000, 0.7119)
O (0.5000, 0.5000, 0.2119)

Most intense lines, 2θ = 15–90°, low angle first:
d_spacing  intensity
4.408  57.5
3.332  38.5
2.939  38.5
2.733  100.0
2.408  14.8
2.204  25.2
1.862  14.0
1.785  26.6
1.654  22.5
1.123  13.9

Which formula does entry 7 have?
KNa3Sb2Au2